# Er4Co3B6
Simulated powder diffraction line list, CuKα. Input: the PBE geometry in the Materials Project.

Top 10 peaks for 10 to 90 degrees two-theta, by angle:
2θ = 24.54°, rel. 39
2θ = 33.84°, rel. 100
2θ = 34.85°, rel. 22
2θ = 38.47°, rel. 17
2θ = 42.24°, rel. 71
2θ = 60.54°, rel. 21
2θ = 62.01°, rel. 18
2θ = 66.33°, rel. 16
2θ = 71.19°, rel. 11
2θ = 76.58°, rel. 12

Structural model:
a = 7.8741 Å, b = 7.8741 Å, c = 7.8741 Å
α = 39.32°, β = 39.32°, γ = 39.32°
Fractional coordinates of all 13 atoms:
Er 0.0889 0.0889 0.0889
Er 0.2449 0.2449 0.2449
Er 0.7551 0.7551 0.7551
Er 0.9111 0.9111 0.9111
Co 0.3882 0.3882 0.3882
Co 0.5000 0.5000 0.5000
Co 0.6118 0.6118 0.6118
B 0.0000 0.3321 0.6679
B 0.0000 0.6679 0.3321
B 0.3321 0.0000 0.6679
B 0.3321 0.6679 0.0000
B 0.6679 0.0000 0.3321
B 0.6679 0.3321 0.0000

---

# ErCo3B2
Simulated powder diffraction line list, CuKα. Input: the PBE geometry in the Materials Project.

Top 10 peaks for 10 to 90 degrees two-theta, by angle:
2θ = 20.64°, rel. 36
2θ = 36.15°, rel. 15
2θ = 36.28°, rel. 100
2θ = 41.99°, rel. 81
2θ = 47.33°, rel. 57
2θ = 65.09°, rel. 39
2θ = 72.98°, rel. 15
2θ = 76.71°, rel. 14
2θ = 77.02°, rel. 25
2θ = 87.94°, rel. 16

Structural model:
a = 4.9692 Å, b = 4.9692 Å, c = 3.0278 Å
α = 90.00°, β = 90.00°, γ = 120.00°
Fractional coordinates of all 6 atoms:
Er 0.0000 0.0000 0.0000
Co 0.0000 0.5000 0.5000
Co 0.5000 0.0000 0.5000
Co 0.5000 0.5000 0.5000
B 0.3333 0.6667 0.0000
B 0.6667 0.3333 0.0000